The following is a simulated X-ray powder pattern of PaAlAg2O6. It was derived from a PBE-relaxed structure, using Cu Kα, 1.54184 Å.
Neutral-atom scattering factors, no anomalous dispersion.

Principal peaks in the range 2θ = 10–80°, in order of falling intensity:
two_theta	I (rel.)	index
32.2	1000	1 1 0
31.3	1000	1 0 4
19.5	488	1 0 1
37.6	479	1 1 3
45.6	468	0 2 4
56.9	393	3 -1 4
18.8	377	0 0 3
50.7	307	2 -1 6

Cell and atoms:
a = 5.5539 Å, b = 5.5539 Å, c = 14.1911 Å
α = 90.00°, β = 90.00°, γ = 120.00°
Space group R3 (No. 146, hexagonal axes)
Asymmetric unit:
Pa: 0.0000 0.0000 0.0000
Al: 0.0000 0.0000 0.5058
Ag: 0.0000 0.0000 0.2910
Ag: 0.0000 0.0000 0.7640
O: 0.0200 0.4055 0.2449
O: 0.0859 0.7185 0.0852



The following is a simulated X-ray powder pattern of PuAlAgO6. It was derived from a PBE-relaxed structure, using Cu Kα, 1.54184 Å.
Neutral-atom scattering factors, no anomalous dispersion.

Principal peaks in the range 2θ = 10–80°, in order of falling intensity:
two_theta	I (rel.)	index
25.9	1000	1 1 0
34.2	765	1 0 3
20.6	700	1 0 1
51.3	647	2 1 3
32.4	244	1 1 2
42.7	240	2 1 1
37.0	236	2 0 0
19.0	210	0 0 2

Cell and atoms:
a = 4.859 Å, b = 4.859 Å, c = 9.328 Å
α = 90.00°, β = 90.00°, γ = 90.00°
Space group P4_2nm (No. 102)
Asymmetric unit:
Pu: 0.000 0.000 0.000
Al: 0.000 0.000 0.663
Ag: 0.000 0.000 0.333
O: 0.177 0.177 0.826
O: 0.198 0.198 0.521
O: 0.214 0.214 0.149



The following is a simulated X-ray powder pattern of AlSiAgO4. It was derived from a PBE-relaxed structure, using Cu Kα, 1.54184 Å.
Neutral-atom scattering factors, no anomalous dispersion.

Principal peaks in the range 2θ = 10–80°, in order of falling intensity:
two_theta	I (rel.)	index
13.6	1000	1 1 0
19.3	526	2 0 2
33.6	514	0 4 2
23.6	501	1 2 2
27.4	452	2 2 0
39.1	231	4 0 4
44.0	192	2 2 6
67.3	191	4 4 6

Cell and atoms:
a = 13.0580 Å, b = 13.0580 Å, c = 15.9187 Å
α = 90.00°, β = 90.00°, γ = 120.00°
Space group R3c (No. 161, hexagonal axes)
Asymmetric unit:
Al: 0.9997 0.2460 0.0000
Si: 0.0011 0.2501 0.4999
Ag: 0.0094 0.5036 0.9990
O: 0.0357 0.3611 0.5651
O: 0.0365 0.3637 0.0715
O: 0.0989 0.2091 0.4994
O: 0.1925 0.3971 0.1958



The following is a simulated X-ray powder pattern of Pa2Al3Zn4Ag. It was derived from a PBE-relaxed structure, using Cu Kα, 1.54184 Å.
Neutral-atom scattering factors, no anomalous dispersion.

Principal peaks in the range 2θ = 10–80°, in order of falling intensity:
two_theta	I (rel.)	index
34.7	1000	1 1 2
33.1	583	1 0 3
22.8	453	1 0 1
43.2	396	2 0 0
47.9	278	1 0 5
55.5	272	2 1 3
73.8	221	3 1 2
66.5	209	2 1 5

Cell and atoms:
a = 4.186 Å, b = 4.186 Å, c = 10.662 Å
α = 90.00°, β = 90.00°, γ = 90.00°
Space group P-4m2 (No. 115)
Asymmetric unit:
Pa: 0.000 0.500 0.245
Al: 0.000 0.500 0.866
Al: 0.500 0.500 0.500
Zn: 0.000 0.000 0.000
Zn: 0.000 0.500 0.642
Zn: 0.500 0.500 0.000
Ag: 0.000 0.000 0.500



The following is a simulated X-ray powder pattern of AlAgPb. It was derived from a PBE-relaxed structure, using Cu Kα, 1.54184 Å.
Neutral-atom scattering factors, no anomalous dispersion.

Principal peaks in the range 2θ = 10–80°, in order of falling intensity:
two_theta	I (rel.)	index
27.2	1000	1 1 0
36.1	983	0 1 2
29.4	680	1 1 -1
32.3	565	1 1 1
43.4	367	0 2 0
39.3	367	2 0 1
28.8	286	0 0 2
40.6	263	2 0 -2

Cell and atoms:
a = 5.395 Å, b = 4.174 Å, c = 6.295 Å
α = 90.00°, β = 100.37°, γ = 90.00°
Space group Pm (No. 6)
Asymmetric unit:
Al: 0.000 0.000 0.000
Al: 0.317 0.500 0.201
Ag: 0.494 0.000 0.999
Ag: 0.822 0.500 0.210
Pb: 0.144 0.000 0.539
Pb: 0.668 0.500 0.670



The following is a simulated X-ray powder pattern of ScAlAgPb. It was derived from a PBE-relaxed structure, using Cu Kα, 1.54184 Å.
Neutral-atom scattering factors, no anomalous dispersion.

Principal peaks in the range 2θ = 10–80°, in order of falling intensity:
two_theta	I (rel.)	index
18.1	1000	1 0 0
34.3	807	1 1 0
34.5	539	0 0 2
29.0	501	0 1 0
36.6	459	2 0 0
43.1	429	1 1 -2
38.0	414	2 0 -2
45.7	294	0 1 2

Cell and atoms:
a = 5.450 Å, b = 3.082 Å, c = 5.767 Å
α = 90.00°, β = 115.66°, γ = 90.00°
Space group P2 (No. 3)
Asymmetric unit:
Sc: 0.000 0.000 0.000
Al: 0.000 0.500 0.500
Ag: 0.500 0.511 0.500
Pb: 0.500 0.496 0.000



The following is a simulated X-ray powder pattern of ScAlAgPb. It was derived from a PBE-relaxed structure, using Cu Kα, 1.54184 Å.
Neutral-atom scattering factors, no anomalous dispersion.

Principal peaks in the range 2θ = 10–80°, in order of falling intensity:
two_theta	I (rel.)	index
35.7	1000	1 1 1
20.6	379	0 1 0
28.8	344	1 0 1
40.0	182	0 0 2
41.9	159	0 2 0
42.3	154	2 0 0
51.6	142	1 2 1
69.8	137	1 1 3

Cell and atoms:
a = 4.269 Å, b = 4.316 Å, c = 4.511 Å
α = 90.00°, β = 90.00°, γ = 90.00°
Space group Pmmm (No. 47)
Asymmetric unit:
Sc: 0.000 0.000 0.000
Al: 0.500 0.000 0.500
Ag: 0.000 0.500 0.500
Pb: 0.500 0.500 0.000



The following is a simulated X-ray powder pattern of ScAlAgPb. It was derived from a PBE-relaxed structure, using Cu Kα, 1.54184 Å.
Neutral-atom scattering factors, no anomalous dispersion.

Principal peaks in the range 2θ = 10–80°, in order of falling intensity:
two_theta	I (rel.)	index
36.4	1000	1 0 2
36.0	551	1 1 0
25.3	534	1 0 0
65.0	359	2 1 2
25.8	248	0 0 2
44.8	235	1 1 2
51.9	191	2 0 0
28.4	183	1 0 1

Cell and atoms:
a = 3.525 Å, b = 3.525 Å, c = 6.919 Å
α = 90.00°, β = 90.00°, γ = 90.00°
Space group P4mm (No. 99)
Asymmetric unit:
Sc: 0.000 0.000 0.000
Al: 0.000 0.000 0.440
Ag: 0.500 0.500 0.257
Pb: 0.500 0.500 0.719



- What is the formula in the seventh record?
  ScAlAgPb